The following is a simulated X-ray powder pattern of CePm2Tl2. It was derived from the PBE geometry in Alexandria, using a wavelength of 1.5418 Å.
Kinematic intensities with the Lorentz-polarization factor, no thermal factor.

```
data_CePm2Tl2
_chemical_formula_sum 'Ce2 Pm4 Tl4'
_symmetry_space_group_name_H-M 'P 63/m m c'
_symmetry_Int_Tables_number 194
_symmetry_space_group_name_Hall '-P 6c 2c'
_cell_length_a 5.3229
_cell_length_b 5.3229
_cell_length_c 12.8597
_cell_angle_alpha 90.00
_cell_angle_beta 90.00
_cell_angle_gamma 120.00
loop_
_atom_site_label
_atom_site_fract_x
_atom_site_fract_y
_atom_site_fract_z
Ce1 0.3333 0.6667 0.2500
Pm1 0.3333 0.6667 0.5618
Tl1 0.0000 0.0000 0.1258
```

Most intense lines, 2θ from 5° to 70°, by angle:
Position (°2θ)  I/Imax
28.4  56.7
33.7  100.0
34.0  62.4
48.6  23.2
60.2  19.0
60.4  24.4

=====

The following is a simulated X-ray powder pattern of K2LiAg3Te4. It was derived from the PBE geometry in Alexandria, using a wavelength of 1.5418 Å.
Kinematic intensities with the Lorentz-polarization factor, no thermal factor.

```
data_K2LiAg3Te4
_chemical_formula_sum 'K2 Li1 Ag3 Te4'
_symmetry_space_group_name_H-M 'P -4 m 2'
_symmetry_Int_Tables_number 115
_cell_length_a 4.9995
_cell_length_b 4.9995
_cell_length_c 11.5384
_cell_angle_alpha 90.00
_cell_angle_beta 90.00
_cell_angle_gamma 90.00
loop_
_symmetry_equiv_pos_as_xyz
'x,y,z'
'y,-x,-z'
'-x,-y,z'
'-y,x,-z'
'-x,y,z'
'-y,-x,-z'
'x,-y,z'
'y,x,-z'
loop_
_atom_site_label
_atom_site_fract_x
_atom_site_fract_y
_atom_site_fract_z
K1 0.0000 0.5000 0.2454
Li1 0.5000 0.5000 0.0000
Ag1 0.0000 0.0000 0.0000
Ag2 0.0000 0.5000 0.6305
Te1 0.0000 0.0000 0.5000
Te2 0.0000 0.5000 0.8715
Te3 0.5000 0.5000 0.5000
```

Most intense lines, 2θ from 5° to 70°, by angle:
Position (°2θ)  I/Imax
19.3  86.9
29.3  64.5
29.6  87.2
35.9  100.0
40.4  96.8
67.6  41.0

=====

The following is a simulated X-ray powder pattern of PrNiH8Ir2. It was derived from the PBE geometry in Alexandria, using a wavelength of 1.5418 Å.
Kinematic intensities with the Lorentz-polarization factor, no thermal factor.

```
data_PrNiH8Ir2
_chemical_formula_sum 'Pr3 Ni3 H24 Ir6'
_symmetry_space_group_name_H-M 'R -3 m'
_symmetry_Int_Tables_number 166
_symmetry_space_group_name_Hall '-R 3 2"'
_cell_length_a 4.7260
_cell_length_b 4.7260
_cell_length_c 15.8315
_cell_angle_alpha 90.00
_cell_angle_beta 90.00
_cell_angle_gamma 120.00
loop_
_atom_site_label
_atom_site_fract_x
_atom_site_fract_y
_atom_site_fract_z
Pr1 0.0000 0.0000 0.0000
Ni1 0.0000 0.0000 0.5000
H1 0.0000 0.0000 0.3157
H2 0.0550 0.5275 0.0885
Ir1 0.0000 0.0000 0.2136
```

Most intense lines, 2θ from 5° to 70°, by angle:
Position (°2θ)  I/Imax
22.4  27.3
31.4  93.4
35.9  60.9
38.1  100.0
50.2  24.9
64.7  23.6